[1]
Diffraction record for LiSbF4. The X-ray powder pattern is simulated, not measured: it uses DFT lattice parameters and positions (PBE) and Cu Kα (λ = 1.5418 Å).
Kinematic intensities with the Lorentz-polarization factor, no thermal factor.

Structure:
Cell lengths 6.994, 6.994, 6.994 Å; angles 90.00, 90.00, 90.00 degrees
Space group P2_13 (No. 198)
One atom of each set of equivalent atoms:
Li  0.170  0.170  0.170 (multiplicity 4)
Sb  0.154  0.346  0.654 (multiplicity 4)
F  0.069  0.625  0.216 (multiplicity 12)
F  0.175  0.675  0.825 (multiplicity 4)

Largest 12 diffraction maxima, by angle, 2θ from 10° to 90°:
(hkl), d/Å, 2theta, Rel. int.
1 1 0, 4.946, 17.94, 85
1 1 1, 4.038, 22.01, 58
2 0 0, 3.497, 25.47, 26
2 1 0, 3.128, 28.54, 100
2 1 1, 2.855, 31.33, 45
3 0 1, 2.212, 40.80, 67
3 2 0, 1.940, 46.83, 21
3 1 2, 1.869, 48.71, 57
4 1 0, 1.696, 54.06, 16
4 2 1, 1.526, 60.68, 21
4 3 1, 1.372, 68.39, 28
5 2 3, 1.135, 85.60, 17

[2]
Diffraction record for Hg5Pb4. The X-ray powder pattern is simulated, not measured: it uses DFT lattice parameters and positions (PBE) and Cu Kα (λ = 1.5418 Å).
Kinematic intensities with the Lorentz-polarization factor, no thermal factor.

Structure:
Cell lengths 10.261, 10.261, 5.661 Å; angles 90.00, 90.00, 90.00 degrees
Space group I4/m (No. 87)
One atom of each set of equivalent atoms:
Hg  0.000  0.000  0.000 (multiplicity 2)
Hg  0.053  0.648  0.500 (multiplicity 8)
Pb  0.155  0.750  0.000 (multiplicity 8)

Largest 12 diffraction maxima, by angle, 2θ from 10° to 90°:
(hkl), d/Å, 2theta, Rel. int.
1 1 0, 7.256, 12.20, 25
1 0 1, 4.957, 17.90, 29
2 1 1, 3.565, 24.98, 24
3 1 0, 3.245, 27.49, 75
3 0 1, 2.927, 30.54, 62
0 0 2, 2.830, 31.61, 73
3 2 1, 2.543, 35.30, 100
1 4 1, 2.278, 39.56, 90
3 1 2, 2.133, 42.38, 49
3 2 3, 1.573, 58.71, 24
1 4 3, 1.504, 61.69, 25
4 6 2, 1.271, 74.66, 19

[3]
Diffraction record for PmDyMgHg. The X-ray powder pattern is simulated, not measured: it uses DFT lattice parameters and positions (PBE) and Cu Kα (λ = 1.5418 Å).
Kinematic intensities with the Lorentz-polarization factor, no thermal factor.

Structure:
Cell lengths 3.799, 3.799, 7.534 Å; angles 90.00, 90.00, 90.00 degrees
Space group P4mm (No. 99)
One atom of each set of equivalent atoms:
Pm  0.000  0.000  0.000 (multiplicity 1)
Dy  0.000  0.000  0.495 (multiplicity 1)
Mg  0.500  0.500  0.739 (multiplicity 1)
Hg  0.500  0.500  0.264 (multiplicity 1)

Largest 12 diffraction maxima, by angle, 2θ from 10° to 90°:
(hkl), d/Å, 2theta, Rel. int.
0 0 1, 7.534, 11.75, 32
1 0 1, 3.392, 26.27, 19
1 1 0, 2.686, 33.35, 51
1 0 2, 2.675, 33.50, 100
1 1 1, 2.530, 35.48, 10
2 0 0, 1.900, 47.89, 19
0 0 4, 1.883, 48.32, 9
2 1 2, 1.549, 59.70, 38
1 1 4, 1.542, 59.99, 18
2 0 4, 1.337, 70.40, 11
3 1 0, 1.201, 79.88, 17
1 0 6, 1.192, 80.58, 7

[4]
Diffraction record for CsRbNa. The X-ray powder pattern is simulated, not measured: it uses DFT lattice parameters and positions (PBE) and Cu Kα (λ = 1.5418 Å).
Kinematic intensities with the Lorentz-polarization factor, no thermal factor.

Structure:
Cell lengths 6.408, 8.186, 9.680 Å; angles 103.74, 90.06, 90.03 degrees
Space group P1 (No. 1)
One atom of each set of equivalent atoms:
Cs  0.000  0.000  0.000 (multiplicity 1)
Cs  0.500  0.148  0.527 (multiplicity 1)
Rb  0.499  0.497  0.088 (multiplicity 1)
Rb  0.999  0.651  0.439 (multiplicity 1)
Na  0.498  0.686  0.727 (multiplicity 1)
Na  0.998  0.461  0.799 (multiplicity 1)

Largest 12 diffraction maxima, by angle, 2θ from 10° to 90°:
(hkl), d/Å, 2theta, Rel. int.
1 1 0, 4.989, 17.78, 22
0 0 2, 4.705, 18.86, 100
0 1 -2, 4.548, 19.52, 19
1 1 1, 4.158, 21.37, 93
0 2 -1, 4.020, 22.11, 33
1 1 -2, 3.709, 23.99, 34
0 2 1, 3.383, 26.34, 20
2 0 0, 3.203, 27.85, 33
2 2 -1, 2.506, 35.84, 19
1 1 3, 2.493, 36.02, 22
1 3 0, 2.449, 36.69, 19
1 3 -2, 2.399, 37.50, 19

[5]
Diffraction record for NdCoSn4. The X-ray powder pattern is simulated, not measured: it uses DFT lattice parameters and positions (PBE) and Cu Kα (λ = 1.5418 Å).
Kinematic intensities with the Lorentz-polarization factor, no thermal factor.

Structure:
Cell lengths 6.326, 6.805, 7.571 Å; angles 107.59, 101.20, 101.45 degrees
Space group P-1 (No. 2)
One atom of each set of equivalent atoms:
Nd  0.004  0.023  0.261 (multiplicity 2)
Co  0.000  0.500  0.000 (multiplicity 1)
Co  0.500  0.500  0.500 (multiplicity 1)
Sn  0.161  0.444  0.673 (multiplicity 2)
Sn  0.315  0.365  0.141 (multiplicity 2)
Sn  0.362  0.821  0.529 (multiplicity 2)
Sn  0.364  0.821  0.077 (multiplicity 2)

Largest 12 diffraction maxima, by angle, 2θ from 10° to 90°:
(hkl), d/Å, 2theta, Rel. int.
1 -2 1, 3.122, 28.59, 28
2 -1 0, 3.036, 29.42, 50
0 2 -2, 2.883, 31.02, 99
-1 1 2, 2.791, 32.07, 77
1 0 2, 2.699, 33.20, 100
2 -2 0, 2.531, 35.46, 39
1 2 0, 2.496, 35.98, 87
2 1 -2, 2.459, 36.53, 69
1 0 -3, 2.388, 37.66, 26
1 -3 0, 2.156, 41.90, 26
1 1 -4, 1.882, 48.36, 29
3 -2 2, 1.660, 55.35, 22

[6]
Diffraction record for Dy5Hg2Ir. The X-ray powder pattern is simulated, not measured: it uses DFT lattice parameters and positions (PBE) and Cu Kα (λ = 1.5418 Å).
Kinematic intensities with the Lorentz-polarization factor, no thermal factor.

Structure:
Cell lengths 7.095, 12.153, 4.883 Å; angles 90.00, 90.00, 90.00 degrees
Space group Pbam (No. 55)
One atom of each set of equivalent atoms:
Dy  0.000  0.000  0.000 (multiplicity 2)
Dy  0.141  0.292  0.000 (multiplicity 4)
Dy  0.175  0.585  0.500 (multiplicity 4)
Hg  0.083  0.838  0.500 (multiplicity 4)
Ir  0.000  0.500  0.000 (multiplicity 2)

Largest 12 diffraction maxima, by angle, 2θ from 10° to 90°:
(hkl), d/Å, 2theta, Rel. int.
1 3 1, 2.854, 31.34, 31
2 1 1, 2.793, 32.04, 100
2 3 0, 2.669, 33.58, 16
2 2 1, 2.595, 34.56, 39
0 4 1, 2.580, 34.78, 47
0 0 2, 2.441, 36.82, 46
1 5 1, 2.080, 43.50, 14
1 4 2, 1.838, 49.59, 16
2 3 2, 1.801, 50.68, 10
2 6 0, 1.759, 51.99, 10
2 1 3, 1.468, 63.34, 12
2 6 2, 1.427, 65.39, 10

[7]
Diffraction record for TbAl3Zn3. The X-ray powder pattern is simulated, not measured: it uses DFT lattice parameters and positions (PBE) and Cu Kα (λ = 1.5418 Å).
Kinematic intensities with the Lorentz-polarization factor, no thermal factor.

Structure:
Cell lengths 11.803, 11.803, 11.803 Å; angles 90.00, 90.00, 90.00 degrees
Space group Fm-3m (No. 225)
One atom of each set of equivalent atoms:
Tb  0.250  0.250  0.250 (multiplicity 8)
Al  0.000  0.000  0.156 (multiplicity 24)
Zn  0.000  0.000  0.350 (multiplicity 24)

Largest 12 diffraction maxima, by angle, 2θ from 10° to 90°:
(hkl), d/Å, 2theta, Rel. int.
1 1 1, 6.814, 12.99, 33
2 2 0, 4.173, 21.29, 100
2 2 2, 3.407, 26.15, 73
4 0 0, 2.951, 30.29, 44
4 2 0, 2.639, 33.97, 48
4 4 2, 1.967, 46.15, 86
6 2 0, 1.866, 48.80, 56
6 4 2, 1.577, 58.52, 12
6 4 4, 1.431, 65.18, 14
6 6 0, 1.391, 67.32, 23
8 4 2, 1.288, 73.55, 21
8 6 2, 1.157, 83.53, 15

[8]
Diffraction record for PmY2Cd6. The X-ray powder pattern is simulated, not measured: it uses DFT lattice parameters and positions (PBE) and Cu Kα (λ = 1.5418 Å).
Kinematic intensities with the Lorentz-polarization factor, no thermal factor.

Structure:
Cell lengths 8.6513, 8.6513, 3.4698 Å; angles 90.00, 90.00, 120.00 degrees
Space group P6/mmm (No. 191)
One atom of each set of equivalent atoms:
Pm  0.0000  0.0000  0.0000 (multiplicity 1)
Y  0.3333  0.6667  0.0000 (multiplicity 2)
Cd  0.0000  0.3354  0.5000 (multiplicity 6)

Largest 12 diffraction maxima, by angle, 2θ from 10° to 90°:
(hkl), d/Å, 2theta, Rel. int.
0 0 1, 3.470, 25.67, 9
1 1 1, 2.707, 33.10, 100
3 0 0, 2.497, 35.96, 91
3 0 1, 2.027, 44.71, 12
2 2 1, 1.835, 49.67, 31
0 0 2, 1.735, 52.76, 10
4 1 1, 1.479, 62.83, 30
3 3 0, 1.442, 64.64, 16
3 0 2, 1.425, 65.51, 30
6 0 0, 1.249, 76.25, 10
5 2 1, 1.134, 85.67, 13
3 3 2, 1.109, 88.09, 14